(1)
Diffraction record for LiAlS2. The powder X-ray diffraction pattern is theoretical, not measured: it uses DFT lattice parameters and positions (GGA-PBE) and Cu Kα, 1.54184 Å.

Main lines, sorted by position (2θ = 10–90°):
hkl, 2θ (°), d_spacing, Rel. int.
1 2 0, 26.3, 3.393, 88
2 0 0, 27.2, 3.275, 55
0 0 2, 28.6, 3.119, 90
1 2 1, 30.0, 2.981, 100
3 2 0, 47.5, 1.913, 62
1 2 3, 51.6, 1.773, 66

Cell and atoms:
Lattice parameters (Å, degrees): 6.5502 7.9331 6.2376 90.00 90.00 90.00
Space group Pna2_1 (No. 33)
One atom of each set of equivalent atoms:
Li 0.0854 0.1222 0.0000 [4 per cell]
Al 0.0729 0.6261 0.9947 [4 per cell]
S 0.0633 0.6136 0.6300 [4 per cell]
S 0.0960 0.1391 0.6053 [4 per cell]

***

(2)
Diffraction record for PmNp2Sn9. The powder X-ray diffraction pattern is theoretical, not measured: it uses DFT lattice parameters and positions (GGA-PBE) and Cu Kα, 1.54184 Å.

Main lines, sorted by position (2θ = 10–90°):
hkl, 2θ (°), d_spacing, Rel. int.
0 0 3, 19.0, 4.683, 6
1 1 3, 33.1, 2.704, 100
2 0 0, 38.4, 2.342, 50
2 2 0, 55.5, 1.656, 35
3 1 3, 66.2, 1.412, 42
2 2 6, 69.5, 1.352, 12

Cell and atoms:
Lattice parameters (Å, degrees): 4.6827 4.6827 14.0512 90.00 90.00 90.00
Space group P4/mmm (No. 123)
One atom of each set of equivalent atoms:
Pm 0.0000 0.0000 0.0000 [1 per cell]
Np 0.0000 0.0000 0.3369 [2 per cell]
Sn 0.0000 0.5000 0.1718 [4 per cell]
Sn 0.0000 0.5000 0.5000 [2 per cell]
Sn 0.5000 0.5000 0.0000 [1 per cell]
Sn 0.5000 0.5000 0.3353 [2 per cell]

***

(3)
Diffraction record for AcAl10Ag2. The powder X-ray diffraction pattern is theoretical, not measured: it uses DFT lattice parameters and positions (GGA-PBE) and Cu Kα, 1.54184 Å.

Main lines, sorted by position (2θ = 10–90°):
hkl, 2θ (°), d_spacing, Rel. int.
0 2 0, 13.7, 6.476, 100
1 1 1, 18.7, 4.739, 56
0 2 4, 29.4, 3.039, 48
1 3 3, 32.8, 2.728, 40
2 2 2, 38.0, 2.370, 93
0 4 4, 38.2, 2.358, 56

Cell and atoms:
Lattice parameters (Å, degrees): 5.4816 12.9510 13.7673 90.00 90.00 90.00
Space group Fmmm (No. 69)
One atom of each set of equivalent atoms:
Ac 0.0000 0.0000 0.0000 [4 per cell]
Al 0.0000 0.1127 0.3869 [16 per cell]
Al 0.0000 0.1807 0.1769 [16 per cell]
Al 0.2500 0.2500 0.0000 [8 per cell]
Ag 0.2500 0.0000 0.2500 [8 per cell]

***

(4)
Diffraction record for Sm3Ni3Sb4. The powder X-ray diffraction pattern is theoretical, not measured: it uses DFT lattice parameters and positions (GGA-PBE) and Cu Kα, 1.54184 Å.

Main lines, sorted by position (2θ = 10–90°):
hkl, 2θ (°), d_spacing, Rel. int.
3 1 0, 29.4, 3.035, 65
3 2 1, 35.0, 2.565, 100
4 2 0, 42.1, 2.146, 37
4 2 2, 46.3, 1.959, 17
6 1 1, 59.4, 1.557, 21
5 5 2, 72.4, 1.306, 18

Cell and atoms:
Lattice parameters (Å, degrees): 9.5977 9.5977 9.5977 90.00 90.00 90.00
Space group I-43d (No. 220)
One atom of each set of equivalent atoms:
Sm 0.0000 0.2500 0.3750 [12 per cell]
Ni 0.0000 0.2500 0.8750 [12 per cell]
Sb 0.0734 0.0734 0.0734 [16 per cell]

***

(5)
Diffraction record for ZrGa3Ni. The powder X-ray diffraction pattern is theoretical, not measured: it uses DFT lattice parameters and positions (GGA-PBE) and Cu Kα, 1.54184 Å.

Main lines, sorted by position (2θ = 10–90°):
hkl, 2θ (°), d_spacing, Rel. int.
0 2 1, 35.4, 2.535, 60
1 2 -1, 36.7, 2.448, 34
2 1 2, 39.0, 2.309, 78
3 0 -2, 39.2, 2.298, 48
0 1 3, 41.1, 2.198, 57
2 2 -1, 41.2, 2.191, 100

Cell and atoms:
Lattice parameters (Å, degrees): 8.1814 5.4142 7.2631 90.00 96.70 90.00
Space group P2_1/c (No. 14)
One atom of each set of equivalent atoms:
Zr 0.1232 0.1253 0.1934 [4 per cell]
Ga 0.1213 0.6266 0.0580 [4 per cell]
Ga 0.2852 0.6090 0.3701 [4 per cell]
Ga 0.3854 0.1707 0.4986 [4 per cell]
Ni 0.4473 0.5609 0.7093 [4 per cell]

***

(6)
Diffraction record for K2ZnAg2. The powder X-ray diffraction pattern is theoretical, not measured: it uses DFT lattice parameters and positions (GGA-PBE) and Cu Kα, 1.54184 Å.

Main lines, sorted by position (2θ = 10–90°):
hkl, 2θ (°), d_spacing, Rel. int.
0 0 2, 16.0, 5.545, 100
1 1 2, 29.5, 3.024, 34
1 0 3, 30.9, 2.890, 38
0 0 4, 32.3, 2.772, 35
1 2 1, 37.7, 2.385, 94
1 2 5, 56.0, 1.642, 38

Cell and atoms:
Lattice parameters (Å, degrees): 4.6361 5.7456 11.0894 90.00 90.00 90.00
Space group Immm (No. 71)
One atom of each set of equivalent atoms:
K 0.0000 0.0000 0.1983 [4 per cell]
Zn 0.0000 0.5000 0.0000 [2 per cell]
Ag 0.0000 0.2514 0.5000 [4 per cell]